This entry pairs a crystal structure of K2Bi with its calculated powder XRD pattern. Radiation: Cu Kα (λ = 1.5418 Å). Structure: a cell relaxed with GGA-PBE.

The 6 most intense peaks (2θ from 10° to 90°), in order of falling intensity:
- 2θ 28.19, I = 100, hkl 1 1 0
- 2θ 29.04, I = 92, hkl 0 1 3
- 2θ 17.80, I = 87, hkl 0 1 1
- 2θ 16.04, I = 66, hkl 0 0 2
- 2θ 33.70, I = 62, hkl 1 0 3
- 2θ 47.23, I = 59, hkl 2 0 0

Cell: 3.8437 5.5815 11.0511 Å, 90.00 90.00 90.00°
Space group Immm (No. 71)
Inequivalent atoms, fractional coordinates:
K  0.0000  0.0000  0.1561 (multiplicity 4)
Bi  0.0000  0.0000  0.5000 (multiplicity 2)